1.
For Ho2Er2Hg, DFT lattice parameters and positions (PBE) gives the simulated powder diffractogram in this record (Cu Kα).

Peak list (10 most intense, 10 to 80 degrees two-theta, in order of rising 2θ)
- 18.07 deg, I = 13
- 20.75 deg, I = 10
- 26.17 deg, I = 10
- 33.34 deg, I = 100
- 35.86 deg, I = 45
- 43.89 deg, I = 9
- 51.62 deg, I = 16
- 57.92 deg, I = 16
- 62.85 deg, I = 33
- 70.02 deg, I = 9

```
data_Ho2Er2Hg
_symmetry_space_group_name_H-M 'P 1'
_symmetry_Int_Tables_number 1
_symmetry_space_group_name_Hall 'P 1'
_cell_length_a 12.874
_cell_length_b 12.874
_cell_length_c 12.874
_cell_angle_alpha 157.57
_cell_angle_beta 157.57
_cell_angle_gamma 31.93
loop_
_atom_site_label
_atom_site_type_symbol
_atom_site_fract_x
_atom_site_fract_y
_atom_site_fract_z
Ho1 Ho 0.049 0.299 0.750
Ho2 Ho 0.299 0.049 0.250
Ho3 Ho 0.701 0.951 0.750
Ho4 Ho 0.951 0.701 0.250
Er1 Er 0.198 0.448 0.750
Er2 Er 0.448 0.198 0.250
Er3 Er 0.552 0.802 0.750
Er4 Er 0.802 0.552 0.250
Hg1 Hg 0.125 0.875 0.250
Hg2 Hg 0.875 0.125 0.750
```

---

2.
For Ag7PdF12, DFT lattice parameters and positions (PBE) gives the simulated powder diffractogram in this record (Cu Kα).

Peak list (10 most intense, 10 to 80 degrees two-theta, in order of rising 2θ)
- 20.67 deg, I = 29
- 24.08 deg, I = 60
- 24.96 deg, I = 65
- 27.87 deg, I = 56
- 31.94 deg, I = 57
- 33.96 deg, I = 52
- 39.52 deg, I = 100
- 42.32 deg, I = 26
- 51.47 deg, I = 61
- 53.32 deg, I = 33

```
data_Ag7PdF12
_symmetry_space_group_name_H-M 'P 1'
_symmetry_Int_Tables_number 1
_symmetry_space_group_name_Hall 'P 1'
_cell_length_a 7.732
_cell_length_b 7.732
_cell_length_c 7.732
_cell_angle_alpha 111.79
_cell_angle_beta 111.79
_cell_angle_gamma 111.79
loop_
_atom_site_label
_atom_site_type_symbol
_atom_site_fract_x
_atom_site_fract_y
_atom_site_fract_z
Ag1 Ag 0.000 0.000 0.000
Ag2 Ag 0.168 0.608 0.747
Ag3 Ag 0.253 0.832 0.392
Ag4 Ag 0.392 0.253 0.832
Ag5 Ag 0.608 0.747 0.168
Ag6 Ag 0.747 0.168 0.608
Ag7 Ag 0.832 0.392 0.253
Pd1 Pd 0.500 0.500 0.500
F1 F 0.153 0.343 0.813
F2 F 0.187 0.847 0.657
F3 F 0.195 0.443 0.321
F4 F 0.321 0.195 0.443
F5 F 0.343 0.813 0.153
F6 F 0.443 0.321 0.195
F7 F 0.557 0.679 0.805
F8 F 0.657 0.187 0.847
F9 F 0.679 0.805 0.557
F10 F 0.805 0.557 0.679
F11 F 0.813 0.153 0.343
F12 F 0.847 0.657 0.187
```

---

3.
For Nd8P3IrCl4, DFT lattice parameters and positions (PBE) gives the simulated powder diffractogram in this record (Cu Kα).

Peak list (10 most intense, 10 to 80 degrees two-theta, in order of rising 2θ)
- 12.78 deg, I = 14
- 26.10 deg, I = 31
- 30.12 deg, I = 100
- 42.87 deg, I = 32
- 43.35 deg, I = 38
- 53.69 deg, I = 19
- 62.61 deg, I = 10
- 70.68 deg, I = 10
- 71.38 deg, I = 16
- 79.21 deg, I = 10

```
data_Nd8P3IrCl4
_symmetry_space_group_name_H-M 'P 1'
_symmetry_Int_Tables_number 1
_symmetry_space_group_name_Hall 'P 1'
_cell_length_a 8.439
_cell_length_b 8.439
_cell_length_c 8.439
_cell_angle_alpha 59.29
_cell_angle_beta 59.29
_cell_angle_gamma 59.29
loop_
_atom_site_label
_atom_site_type_symbol
_atom_site_fract_x
_atom_site_fract_y
_atom_site_fract_z
Nd1 Nd 0.240 0.240 0.240
Nd2 Nd 0.244 0.737 0.737
Nd3 Nd 0.263 0.263 0.756
Nd4 Nd 0.263 0.756 0.263
Nd5 Nd 0.737 0.244 0.737
Nd6 Nd 0.737 0.737 0.244
Nd7 Nd 0.756 0.263 0.263
Nd8 Nd 0.760 0.760 0.760
P1 P 0.000 0.000 0.500
P2 P 0.000 0.500 0.000
P3 P 0.500 0.000 0.000
Ir1 Ir 0.500 0.500 0.500
Cl1 Cl 0.000 0.000 0.000
Cl2 Cl 0.000 0.500 0.500
Cl3 Cl 0.500 0.000 0.500
Cl4 Cl 0.500 0.500 0.000
```

---

4.
For U2TlO6, DFT lattice parameters and positions (PBE) gives the simulated powder diffractogram in this record (Cu Kα).

Peak list (10 most intense, 10 to 80 degrees two-theta, in order of rising 2θ)
- 13.69 deg, I = 14
- 22.44 deg, I = 18
- 26.38 deg, I = 100
- 27.58 deg, I = 44
- 41.90 deg, I = 37
- 45.81 deg, I = 40
- 53.64 deg, I = 16
- 54.31 deg, I = 21
- 63.81 deg, I = 27
- 73.15 deg, I = 13

```
data_U2TlO6
_symmetry_space_group_name_H-M 'P 1'
_symmetry_Int_Tables_number 1
_symmetry_space_group_name_Hall 'P 1'
_cell_length_a 7.922
_cell_length_b 7.922
_cell_length_c 7.922
_cell_angle_alpha 60.00
_cell_angle_beta 60.00
_cell_angle_gamma 60.00
loop_
_atom_site_label
_atom_site_type_symbol
_atom_site_fract_x
_atom_site_fract_y
_atom_site_fract_z
U1 U 0.000 0.000 0.000
U2 U 0.000 0.000 0.500
U3 U 0.000 0.500 0.000
U4 U 0.500 0.000 0.000
Tl1 Tl 0.375 0.375 0.375
Tl2 Tl 0.625 0.625 0.625
O1 O 0.067 0.067 0.683
O2 O 0.067 0.683 0.067
O3 O 0.067 0.683 0.683
O4 O 0.317 0.317 0.933
O5 O 0.317 0.933 0.317
O6 O 0.317 0.933 0.933
O7 O 0.683 0.067 0.067
O8 O 0.683 0.067 0.683
O9 O 0.683 0.683 0.067
O10 O 0.933 0.317 0.317
O11 O 0.933 0.317 0.933
O12 O 0.933 0.933 0.317
```